For GdCoNO, DFT lattice parameters and positions (GGA+U) gives the theoretical XRD peak list in this record (copper Kα).
Peak positions follow from Bragg's law for the DFT cell and can differ from measured ones.

Crystal structure
```
GdCoNO
1.0
5.314 0.000 0.000
0.000 7.145 0.000
0.000 0.000 5.465
Gd Co N O
4 4 4 4
Cartesian
0.173 1.139 0.000 Gd
2.484 1.139 2.733 Gd
2.830 6.006 0.000 Gd
5.141 6.006 2.733 Gd
0.061 3.849 0.222 Co
2.597 3.849 2.954 Co
2.718 3.296 0.222 Co
5.254 3.296 2.954 Co
1.263 3.043 1.536 N
1.394 3.043 4.269 N
3.920 4.102 1.536 N
4.051 4.102 4.269 N
1.323 6.947 1.366 O
1.334 6.947 4.099 O
3.980 0.198 1.366 O
3.991 0.198 4.099 O
```

Top 10 peaks for 2θ from 10° to 90°, sorted by position:
26.51°, I = 911, (1 1 1)
32.77°, I = 339, (0 0 2)
33.73°, I = 287, (2 0 0)
34.41°, I = 1000, (1 2 1)
37.77°, I = 248, (0 3 0)
47.74°, I = 359, (2 0 2)
50.86°, I = 251, (0 3 2)
51.53°, I = 221, (2 3 0)
59.56°, I = 188, (1 2 3)
62.42°, I = 188, (2 3 2)